Computed PXRD pattern
Compound: Ba2CrBiO6
Radiation: Cu Kα (weighted mean of Kα1 and Kα2)
Structure: the PBE+U geometry in the Materials Project

```
Ba2CrBiO6
1.0
8.4083 0.0000 0.0000
0.0000 8.4083 0.0000
0.0000 0.0000 8.4083
Ba Cr Bi O
8 4 4 24
Direct
0.2500 0.2500 0.2500
0.2500 0.2500 0.7500
0.2500 0.7500 0.2500
0.2500 0.7500 0.7500
0.7500 0.2500 0.2500
0.7500 0.2500 0.7500
0.7500 0.7500 0.2500
0.7500 0.7500 0.7500
0.0000 0.0000 0.0000
0.0000 0.5000 0.5000
0.5000 0.0000 0.5000
0.5000 0.5000 0.0000
0.0000 0.0000 0.5000
0.0000 0.5000 0.0000
0.5000 0.0000 0.0000
0.5000 0.5000 0.5000
0.0084 0.5104 0.7356
0.0084 0.9896 0.7644
0.0104 0.2356 0.9916
0.0104 0.2644 0.5084
0.2356 0.5084 0.4896
0.2356 0.9916 0.0104
0.2644 0.5084 0.0104
0.2644 0.9916 0.4896
0.4896 0.2356 0.5084
0.4896 0.2644 0.9916
0.4916 0.5104 0.7644
0.4916 0.9896 0.7356
0.5084 0.0104 0.2644
0.5084 0.4896 0.2356
0.5104 0.7356 0.0084
0.5104 0.7644 0.4916
0.7356 0.0084 0.5104
0.7356 0.4916 0.9896
0.7644 0.0084 0.9896
0.7644 0.4916 0.5104
0.9896 0.7356 0.4916
0.9896 0.7644 0.0084
0.9916 0.0104 0.2356
0.9916 0.4896 0.2644
```

Peak list (6 most intense, 2θ = 10–90°, in order of rising 2θ)
- 30.06 deg, intensity 100
- 43.03 deg, intensity 29
- 53.38 deg, intensity 41
- 62.48 deg, intensity 18
- 70.88 deg, intensity 18
- 86.65 deg, intensity 22